This entry pairs a crystal structure of Pm7Pb2C with its simulated powder diffractogram. Radiation: copper Kα. Structure: a structure optimized by DFT (GGA-PBE).
Kinematic intensities with the Lorentz-polarization factor, no thermal factor.

Largest 6 diffraction maxima, in order of rising 2θ, 5 to 70 degrees two-theta:
2theta  intensity
23.82  17
29.28  100
33.94  83
48.76  58
57.90  41
60.74  19

Structural model:
```
Pm7Pb2C
1.0
0.000 5.282 5.282
5.282 0.000 5.282
5.282 5.282 0.000
Pm Pb C
7 2 1
Cartesian
0.000 0.000 0.000
5.282 5.282 2.829
5.282 2.829 5.282
7.736 5.282 5.282
2.829 5.282 5.282
5.282 7.736 5.282
5.282 5.282 7.736
2.641 2.641 2.641
7.923 7.923 7.923
5.282 5.282 5.282
```

---

This entry pairs a crystal structure of Pm4Pb2C with its simulated powder diffractogram. Radiation: copper Kα. Structure: a structure optimized by DFT (GGA-PBE).
Kinematic intensities with the Lorentz-polarization factor, no thermal factor.

Largest 6 diffraction maxima, in order of rising 2θ, 5 to 70 degrees two-theta:
2theta  intensity
28.02  53
28.18  37
29.37  52
31.05  32
32.60  100
37.33  28

Structural model:
```
Pm4Pb2C
1.0
6.789 0.000 0.000
0.000 6.931 0.000
-3.319 0.000 8.989
Pm Pb C
8 4 2
Cartesian
0.976 1.733 0.542
-0.778 6.928 6.561
-0.778 3.469 6.561
0.729 5.198 3.115
2.741 1.733 5.874
4.248 0.003 2.428
4.248 3.462 2.428
2.494 5.198 8.447
0.139 1.733 3.777
2.230 5.198 0.316
1.240 1.733 8.673
3.330 5.198 5.212
-2.131 1.733 7.205
5.601 5.198 1.784
```

---

This entry pairs a crystal structure of Pr4PbC with its simulated powder diffractogram. Radiation: copper Kα. Structure: a structure optimized by DFT (GGA-PBE).
Kinematic intensities with the Lorentz-polarization factor, no thermal factor.

Largest 6 diffraction maxima, in order of rising 2θ, 5 to 70 degrees two-theta:
2theta  intensity
17.67  69
28.67  100
30.04  80
30.32  75
35.77  61
58.41  53

Structural model:
```
Pr4PbC
1.0
5.022 -3.970 0.000
5.022 3.970 0.000
0.000 0.000 10.038
Pr Pb C
8 2 2
Cartesian
2.025 0.647 7.529
5.022 2.010 5.510
5.022 2.010 9.547
2.025 -0.647 2.510
8.019 0.647 7.529
5.022 -2.010 0.491
5.022 -2.010 4.528
8.019 -0.647 2.510
5.022 0.643 2.510
5.022 -0.643 7.529
5.022 3.331 7.529
5.022 -3.331 2.510
```

---

This entry pairs a crystal structure of Sb2PbC with its simulated powder diffractogram. Radiation: copper Kα. Structure: a structure optimized by DFT (GGA-PBE).
Kinematic intensities with the Lorentz-polarization factor, no thermal factor.

Largest 6 diffraction maxima, in order of rising 2θ, 5 to 70 degrees two-theta:
2theta  intensity
28.39  82
30.47  100
35.58  26
46.55  25
52.05  29
58.33  26

Structural model:
```
Sb2PbC
1.0
-3.519 3.519 4.055
3.519 -3.519 4.055
3.519 3.519 -4.055
Sb Pb C
4 2 2
Cartesian
5.278 0.989 -1.014
0.989 1.759 1.014
-1.759 2.530 3.041
2.530 1.759 5.069
3.519 0.000 2.027
0.000 0.000 4.055
0.000 0.000 0.000
0.000 3.519 2.027
```

---

This entry pairs a crystal structure of Sc6SbPb2C with its simulated powder diffractogram. Radiation: copper Kα. Structure: a structure optimized by DFT (GGA-PBE).
Kinematic intensities with the Lorentz-polarization factor, no thermal factor.

Largest 6 diffraction maxima, in order of rising 2θ, 5 to 70 degrees two-theta:
2theta  intensity
25.07  51
25.51  100
31.19  85
35.75  67
44.43  47
52.40  40

Structural model:
```
Sc6SbPb2C
1.0
5.023 0.000 0.000
0.000 5.023 0.000
0.000 0.000 9.718
Sc Sb Pb C
6 1 2 1
Cartesian
0.000 0.000 2.125
0.000 0.000 7.592
0.000 2.512 0.000
0.000 2.512 4.859
2.512 0.000 0.000
2.512 0.000 4.859
0.000 0.000 4.859
2.512 2.512 2.360
2.512 2.512 7.358
0.000 0.000 0.000
```

---

This entry pairs a crystal structure of Sc6Pb3C with its simulated powder diffractogram. Radiation: copper Kα. Structure: a structure optimized by DFT (GGA-PBE).
Kinematic intensities with the Lorentz-polarization factor, no thermal factor.

Largest 6 diffraction maxima, in order of rising 2θ, 5 to 70 degrees two-theta:
2theta  intensity
16.74  70
24.79  95
31.94  98
33.34  88
35.57  100
36.44  89

Structural model:
```
Sc6Pb3C
1.0
5.335 -3.302 0.000
5.335 3.302 0.000
-4.514 0.000 6.650
Sc Pb C
6 3 1
Cartesian
1.260 1.761 5.046
2.198 0.000 0.566
4.895 1.761 1.604
1.260 -1.761 5.046
3.957 0.000 6.085
4.895 -1.761 1.604
-1.217 0.000 4.562
3.078 0.000 3.325
7.372 0.000 2.088
0.000 0.000 0.000
```